Structure and simulated powder XRD pattern of Ac5Pb6 (a DFT-relaxed cell (GGA-PBE, Alexandria); copper Kα).
Neutral-atom scattering factors, no anomalous dispersion.

The 10 most intense peaks (2θ from 5° to 70°), by angle:
2θ 25.3, I = 12.8
2θ 27.1, I = 100.0
2θ 31.6, I = 13.1
2θ 33.9, I = 19.1
2θ 34.9, I = 42.7
2θ 36.1, I = 24.2
2θ 38.2, I = 20.8
2θ 50.3, I = 12.9
2θ 53.5, I = 16.0
2θ 59.6, I = 11.7

Structural model:
```
11
Lattice="2.3558 -17.5764 0.0000 2.3558 17.5764 0.0000 0.0000 0.0000 4.9811" Properties=species:S:1:pos:R:3 pbc="T T T"
Ac 0.0000 0.0000 0.0000
Ac 2.3558 10.4812 2.4905
Ac 2.3558 4.0994 0.0000
Ac 2.3558 -4.0994 0.0000
Ac 2.3558 -10.4812 2.4905
Pb 2.3558 13.8910 2.4905
Pb 2.3558 7.6398 0.0000
Pb 2.3558 1.5400 2.4905
Pb 2.3558 -1.5400 2.4905
Pb 2.3558 -7.6398 0.0000
Pb 2.3558 -13.8910 2.4905
```

***

Structure and simulated powder XRD pattern of Ac3Pb4 (a DFT-relaxed cell (GGA-PBE, Alexandria); copper Kα).
Neutral-atom scattering factors, no anomalous dispersion.

The 10 most intense peaks (2θ from 5° to 70°), by angle:
2θ 28.3, I = 43.4
2θ 29.0, I = 100.0
2θ 30.3, I = 14.3
2θ 31.8, I = 14.6
2θ 32.6, I = 35.7
2θ 35.7, I = 24.0
2θ 37.3, I = 28.8
2θ 47.6, I = 10.4
2θ 48.0, I = 10.7
2θ 52.6, I = 16.3

Structural model:
```
14
Lattice="2.4100 -6.2517 0.0000 2.4100 6.2517 0.0000 0.0000 0.0000 16.8857" Properties=species:S:1:pos:R:3 pbc="T T T"
Ac 2.4100 5.6125 12.6643
Ac 2.4100 2.1492 10.0923
Ac 2.4100 2.1492 15.2363
Ac 2.4100 -2.1492 1.6494
Ac 2.4100 -2.1492 6.7934
Ac 2.4100 -5.6125 4.2214
Pb 0.0000 0.0000 0.0000
Pb 0.0000 0.0000 8.4429
Pb 2.4100 3.5198 4.2214
Pb 2.4100 1.4681 1.8062
Pb 2.4100 1.4681 6.6366
Pb 2.4100 -1.4681 10.2491
Pb 2.4100 -1.4681 15.0795
Pb 2.4100 -3.5198 12.6643
```

***

Structure and simulated powder XRD pattern of AcPd3Pb2 (a DFT-relaxed cell (GGA-PBE, Alexandria); copper Kα).
Neutral-atom scattering factors, no anomalous dispersion.

The 10 most intense peaks (2θ from 5° to 70°), by angle:
2θ 26.0, I = 60.3
2θ 32.7, I = 64.5
2θ 34.2, I = 100.0
2θ 34.3, I = 66.1
2θ 36.9, I = 53.6
2θ 37.4, I = 31.3
2θ 39.1, I = 40.2
2θ 42.2, I = 50.2
2θ 51.3, I = 36.0
2θ 53.5, I = 34.9

Structural model:
```
12
Lattice="4.8084 -4.8754 0.0000 4.8084 4.8754 0.0000 0.0000 0.0000 6.2236" Properties=species:S:1:pos:R:3 pbc="T T T"
Ac 4.8084 2.5211 4.6677
Ac 4.8084 -2.5211 1.5559
Pd 3.1318 2.6280 1.5559
Pd 6.4851 2.6280 1.5559
Pd 4.8084 0.4564 1.5559
Pd 4.8084 -0.4564 4.6677
Pd 3.1318 -2.6280 4.6677
Pd 6.4851 -2.6280 4.6677
Pb 2.4264 0.0000 0.0000
Pb 2.4264 0.0000 3.1118
Pb 7.1904 0.0000 0.0000
Pb 7.1904 0.0000 3.1118
```

***

Structure and simulated powder XRD pattern of Ac4Pd6Pb5 (a DFT-relaxed cell (GGA-PBE, Alexandria); copper Kα).
Neutral-atom scattering factors, no anomalous dispersion.

The 10 most intense peaks (2θ from 5° to 70°), by angle:
2θ 25.9, I = 46.3
2θ 29.1, I = 33.6
2θ 29.5, I = 32.4
2θ 30.5, I = 24.9
2θ 31.8, I = 28.1
2θ 32.1, I = 31.2
2θ 32.8, I = 100.0
2θ 33.2, I = 19.8
2θ 38.7, I = 28.4
2θ 40.3, I = 51.4

Structural model:
```
30
Lattice="2.2382 -10.9215 0.0000 2.2382 10.9215 0.0000 0.0000 0.0000 16.7153" Properties=species:S:1:pos:R:3 pbc="T T T"
Ac 2.2382 10.6885 8.3577
Ac 2.2382 10.0121 3.9360
Ac 2.2382 7.5094 12.0334
Ac 2.2382 6.8739 1.1086
Ac 2.2382 -6.8739 9.4663
Ac 2.2382 -7.5094 3.6758
Ac 2.2382 -10.0121 12.2937
Ac 2.2382 -10.6885 0.0000
Pd 2.2382 8.5100 15.0694
Pd 2.2382 6.0862 8.9646
Pd 2.2382 5.5746 4.2394
Pd 2.2382 1.7252 14.7911
Pd 2.2382 1.6400 10.0753
Pd 2.2382 1.0615 2.7608
Pd 2.2382 -1.0615 11.1185
Pd 2.2382 -1.6400 1.7177
Pd 2.2382 -1.7252 6.4334
Pd 2.2382 -5.5746 12.5971
Pd 2.2382 -6.0862 0.6069
Pd 2.2382 -8.5100 6.7117
Pb 2.2382 7.4357 6.4931
Pb 2.2382 4.1752 6.6936
Pb 2.2382 3.6942 12.2612
Pb 2.2382 3.0699 0.7482
Pb 2.2382 1.0225 5.7065
Pb 2.2382 -1.0225 14.0642
Pb 2.2382 -3.0699 9.1059
Pb 2.2382 -3.6942 3.9035
Pb 2.2382 -4.1752 15.0512
Pb 2.2382 -7.4357 14.8507
```